Entry 1:
Starting from a cell relaxed with GGA+U, the PXRD pattern of ZnFe4CuO8 was computed for Cu Kα (weighted mean of Kα1 and Kα2).
Neutral-atom scattering factors, no anomalous dispersion.

Atomic structure:
Lattice parameters (Å, degrees): 6.0379 6.0379 14.6927 90.00 90.00 120.00
Space group R3m (No. 160, hexagonal axes)
Inequivalent atoms, fractional coordinates:
Zn  0.0000  0.0000  0.0000 [3 per cell]
Fe  0.0000  0.0000  0.7532 [3 per cell]
Fe  0.0030  0.5015  0.8768 [9 per cell]
Cu  0.0000  0.0000  0.3752 [3 per cell]
O  0.0000  0.0000  0.1361 [3 per cell]
O  0.0000  0.0000  0.6199 [3 per cell]
O  0.0140  0.5070  0.1317 [9 per cell]
O  0.1785  0.3570  0.9534 [9 per cell]

Principal peaks in the range 2θ from 15° to 90°, by intensity:
2θ = 34.90°, I = 100, (1 1 3); 2θ = 56.04°, I = 37, (1 2 5); 2θ = 35.03°, I = 36, (0 1 5); 2θ = 61.42°, I = 31, (2 2 0); 2θ = 61.72°, I = 30, (2 0 8); 2θ = 42.44°, I = 24, (0 2 4); 2θ = 29.59°, I = 24, (1 1 0); 2θ = 29.72°, I = 17, (1 0 4)

Entry 2:
Starting from a cell relaxed with GGA+U, the PXRD pattern of VF5 was computed for Cu Kα (weighted mean of Kα1 and Kα2).
Neutral-atom scattering factors, no anomalous dispersion.

Atomic structure:
Lattice parameters (Å, degrees): 8.8457 6.2140 7.5511 90.00 115.25 90.00
Space group C2/c (No. 15)
Inequivalent atoms, fractional coordinates:
V  0.0000  0.0000  0.0000 [4 per cell]
F  0.0000  0.0735  0.2500 [4 per cell]
F  0.0092  0.2804  0.9496 [8 per cell]
F  0.2235  0.0190  0.6128 [8 per cell]

Principal peaks in the range 2θ from 15° to 90°, by intensity:
2θ = 18.08°, I = 100, (1 1 0); 2θ = 26.10°, I = 40, (0 0 2); 2θ = 22.22°, I = 35, (2 0 0); 2θ = 27.65°, I = 33, (1 1 -2); 2θ = 45.34°, I = 16, (4 0 0); 2θ = 28.73°, I = 14, (0 2 0); 2θ = 50.24°, I = 12, (1 3 -2); 2θ = 51.89°, I = 12, (3 1 -4)